Entry 1:
Computed XRD peak list of TbPm6Dy6 for Cu Ka, from a DFT-relaxed cell (GGA-PBE, Alexandria).
Neutral-atom scattering factors, no anomalous dispersion.

Top 12 peaks for 2θ from 10° to 90°, sorted by position:
2θ = 26.53°, d = 3.360 Å, I = 36; 2θ = 28.05°, d = 3.181 Å, I = 26; 2θ = 30.73°, d = 2.909 Å, I = 59; 2θ = 30.90°, d = 2.894 Å, I = 86; 2θ = 31.39°, d = 2.850 Å, I = 33; 2θ = 34.62°, d = 2.591 Å, I = 100; 2θ = 35.06°, d = 2.559 Å, I = 31; 2θ = 49.65°, d = 1.836 Å, I = 23; 2θ = 52.56°, d = 1.741 Å, I = 19; 2θ = 54.64°, d = 1.680 Å, I = 38; 2θ = 55.58°, d = 1.654 Å, I = 31; 2θ = 64.38°, d = 1.447 Å, I = 25

Atomic structure:
a b c (Å): 6.719 6.719 11.398
angles (deg): 90.00 90.00 120.00
Element x y z (fractional)
Tb (0.000, 0.000, 0.000)
Pm (0.000, 0.000, 0.346)
Pm (0.000, 0.000, 0.654)
Pm (0.333, 0.667, 0.000)
Pm (0.333, 0.667, 0.500)
Pm (0.667, 0.333, 0.000)
Pm (0.667, 0.333, 0.500)
Dy (0.000, 0.500, 0.247)
Dy (0.000, 0.500, 0.753)
Dy (0.500, 0.000, 0.247)
Dy (0.500, 0.000, 0.753)
Dy (0.500, 0.500, 0.247)
Dy (0.500, 0.500, 0.753)


Entry 2:
Computed XRD peak list of Tb4Pm8Dy for Cu Ka, from a DFT-relaxed cell (GGA-PBE, Alexandria).
Neutral-atom scattering factors, no anomalous dispersion.

Top 12 peaks for 2θ from 10° to 90°, sorted by position:
2θ = 28.12°, d = 3.173 Å, I = 25; 2θ = 28.36°, d = 3.147 Å, I = 14; 2θ = 30.89°, d = 2.895 Å, I = 100; 2θ = 32.33°, d = 2.769 Å, I = 34; 2θ = 34.45°, d = 2.603 Å, I = 9; 2θ = 37.76°, d = 2.382 Å, I = 9; 2θ = 37.99°, d = 2.369 Å, I = 31; 2θ = 49.88°, d = 1.828 Å, I = 28; 2θ = 50.57°, d = 1.805 Å, I = 13; 2θ = 58.23°, d = 1.584 Å, I = 19; 2θ = 59.83°, d = 1.546 Å, I = 13; 2θ = 81.55°, d = 1.180 Å, I = 9

Atomic structure:
a b c (Å): 10.413 10.413 10.413
angles (deg): 41.11 41.11 41.11
Element x y z (fractional)
Tb (0.000, 0.000, 0.000)
Tb (0.000, 0.500, 0.500)
Tb (0.500, 0.000, 0.500)
Tb (0.500, 0.500, 0.000)
Pm (0.203, 0.751, 0.751)
Pm (0.213, 0.213, 0.213)
Pm (0.249, 0.249, 0.797)
Pm (0.249, 0.797, 0.249)
Pm (0.751, 0.203, 0.751)
Pm (0.751, 0.751, 0.203)
Pm (0.787, 0.787, 0.787)
Pm (0.797, 0.249, 0.249)
Dy (0.500, 0.500, 0.500)


Entry 3:
Computed XRD peak list of Tb3Pm3Dy2 for Cu Ka, from a DFT-relaxed cell (GGA-PBE, Alexandria).
Neutral-atom scattering factors, no anomalous dispersion.

Top 8 peaks for 2θ from 10° to 90°, sorted by position:
2θ = 30.51°, d = 2.930 Å, I = 100; 2θ = 35.38°, d = 2.537 Å, I = 51; 2θ = 50.90°, d = 1.794 Å, I = 36; 2θ = 60.51°, d = 1.530 Å, I = 43; 2θ = 63.51°, d = 1.465 Å, I = 12; 2θ = 74.84°, d = 1.269 Å, I = 6; 2θ = 82.94°, d = 1.164 Å, I = 18; 2θ = 85.60°, d = 1.135 Å, I = 17

Atomic structure:
a b c (Å): 5.074 5.075 20.298
angles (deg): 90.00 90.00 90.00
Element x y z (fractional)
Tb (0.000, 0.000, 0.000)
Tb (0.000, 0.500, 0.126)
Tb (0.000, 0.500, 0.874)
Tb (0.500, 0.000, 0.374)
Tb (0.500, 0.000, 0.626)
Tb (0.500, 0.500, 0.500)
Pm (0.000, 0.000, 0.500)
Pm (0.000, 0.500, 0.374)
Pm (0.000, 0.500, 0.626)
Pm (0.500, 0.000, 0.126)
Pm (0.500, 0.000, 0.874)
Pm (0.500, 0.500, 0.000)
Dy (0.000, 0.000, 0.250)
Dy (0.000, 0.000, 0.750)
Dy (0.500, 0.500, 0.250)
Dy (0.500, 0.500, 0.750)


Entry 4:
Computed XRD peak list of Tb3Pm5Dy2 for Cu Ka, from a DFT-relaxed cell (GGA-PBE, Alexandria).
Neutral-atom scattering factors, no anomalous dispersion.

Top 12 peaks for 2θ from 10° to 90°, sorted by position:
2θ = 29.50°, d = 3.028 Å, I = 95; 2θ = 31.05°, d = 2.880 Å, I = 100; 2θ = 32.05°, d = 2.793 Å, I = 22; 2θ = 33.38°, d = 2.685 Å, I = 46; 2θ = 34.13°, d = 2.627 Å, I = 17; 2θ = 36.11°, d = 2.487 Å, I = 24; 2θ = 46.95°, d = 1.935 Å, I = 15; 2θ = 48.92°, d = 1.862 Å, I = 22; 2θ = 58.21°, d = 1.585 Å, I = 17; 2θ = 60.46°, d = 1.531 Å, I = 22; 2θ = 62.98°, d = 1.476 Å, I = 26; 2θ = 69.00°, d = 1.361 Å, I = 18

Atomic structure:
a b c (Å): 9.195 9.195 9.984
angles (deg): 108.29 108.29 108.54
Element x y z (fractional)
Tb (0.029, 0.279, 0.055)
Tb (0.228, 0.772, 0.750)
Tb (0.279, 0.029, 0.555)
Tb (0.721, 0.971, 0.445)
Tb (0.772, 0.228, 0.250)
Tb (0.971, 0.721, 0.945)
Pm (0.022, 0.978, 0.750)
Pm (0.118, 0.375, 0.742)
Pm (0.272, 0.728, 0.250)
Pm (0.375, 0.118, 0.242)
Pm (0.481, 0.519, 0.250)
Pm (0.519, 0.481, 0.750)
Pm (0.625, 0.882, 0.758)
Pm (0.728, 0.272, 0.750)
Pm (0.882, 0.625, 0.258)
Pm (0.978, 0.022, 0.250)
Dy (0.221, 0.476, 0.444)
Dy (0.476, 0.221, 0.944)
Dy (0.524, 0.779, 0.056)
Dy (0.779, 0.524, 0.556)


Entry 5:
Computed XRD peak list of Tb2Pm8Dy3 for Cu Ka, from a DFT-relaxed cell (GGA-PBE, Alexandria).
Neutral-atom scattering factors, no anomalous dispersion.

Top 12 peaks for 2θ from 10° to 90°, sorted by position:
2θ = 29.00°, d = 3.079 Å, I = 39; 2θ = 30.82°, d = 2.901 Å, I = 66; 2θ = 31.65°, d = 2.827 Å, I = 49; 2θ = 31.84°, d = 2.811 Å, I = 100; 2θ = 32.15°, d = 2.784 Å, I = 51; 2θ = 32.79°, d = 2.732 Å, I = 17; 2θ = 33.43°, d = 2.681 Å, I = 15; 2θ = 42.42°, d = 2.131 Å, I = 13; 2θ = 43.23°, d = 2.093 Å, I = 12; 2θ = 48.43°, d = 1.880 Å, I = 17; 2θ = 55.22°, d = 1.663 Å, I = 20; 2θ = 55.61°, d = 1.653 Å, I = 13

Atomic structure:
a b c (Å): 6.160 6.799 11.996
angles (deg): 87.06 75.96 63.87
Element x y z (fractional)
Tb (0.229, 0.067, 0.426)
Tb (0.771, 0.933, 0.574)
Pm (0.116, 0.590, 0.328)
Pm (0.250, 0.877, 0.737)
Pm (0.273, 0.188, 0.114)
Pm (0.349, 0.337, 0.803)
Pm (0.651, 0.663, 0.197)
Pm (0.727, 0.812, 0.886)
Pm (0.750, 0.123, 0.263)
Pm (0.884, 0.410, 0.672)
Dy (0.192, 0.728, 0.035)
Dy (0.500, 0.500, 0.500)
Dy (0.808, 0.272, 0.965)


Entry 6:
Computed XRD peak list of Tb4PmDy15 for Cu Ka, from a DFT-relaxed cell (GGA-PBE, Alexandria).
Neutral-atom scattering factors, no anomalous dispersion.

Top 8 peaks for 2θ from 10° to 90°, sorted by position:
2θ = 30.84°, d = 2.900 Å, I = 100; 2θ = 35.76°, d = 2.511 Å, I = 51; 2θ = 51.47°, d = 1.776 Å, I = 36; 2θ = 61.21°, d = 1.514 Å, I = 43; 2θ = 64.25°, d = 1.450 Å, I = 12; 2θ = 75.76°, d = 1.256 Å, I = 6; 2θ = 84.00°, d = 1.152 Å, I = 18; 2θ = 86.71°, d = 1.123 Å, I = 17

Atomic structure:
a b c (Å): 5.023 5.023 25.105
angles (deg): 90.00 90.00 90.00
Element x y z (fractional)
Tb (0.000, 0.000, 0.100)
Tb (0.000, 0.000, 0.299)
Tb (0.000, 0.000, 0.701)
Tb (0.000, 0.000, 0.900)
Pm (0.000, 0.000, 0.500)
Dy (0.000, 0.500, 0.000)
Dy (0.000, 0.500, 0.200)
Dy (0.000, 0.500, 0.399)
Dy (0.000, 0.500, 0.601)
Dy (0.000, 0.500, 0.800)
Dy (0.500, 0.000, 0.000)
Dy (0.500, 0.000, 0.200)
Dy (0.500, 0.000, 0.399)
Dy (0.500, 0.000, 0.601)
Dy (0.500, 0.000, 0.800)
Dy (0.500, 0.500, 0.100)
Dy (0.500, 0.500, 0.299)
Dy (0.500, 0.500, 0.500)
Dy (0.500, 0.500, 0.701)
Dy (0.500, 0.500, 0.900)


Entry 7:
Computed XRD peak list of Tb2Pm3Dy3 for Cu Ka, from a DFT-relaxed cell (GGA-PBE, Alexandria).
Neutral-atom scattering factors, no anomalous dispersion.

Top 12 peaks for 2θ from 10° to 90°, sorted by position:
2θ = 28.27°, d = 3.157 Å, I = 24; 2θ = 31.15°, d = 2.871 Å, I = 25; 2θ = 32.36°, d = 2.767 Å, I = 100; 2θ = 42.56°, d = 2.124 Å, I = 16; 2θ = 49.96°, d = 1.826 Å, I = 7; 2θ = 50.08°, d = 1.821 Å, I = 13; 2θ = 56.20°, d = 1.637 Å, I = 21; 2θ = 60.10°, d = 1.540 Å, I = 15; 2θ = 60.18°, d = 1.538 Å, I = 8; 2θ = 60.81°, d = 1.523 Å, I = 11; 2θ = 82.62°, d = 1.168 Å, I = 7; 2θ = 86.22°, d = 1.128 Å, I = 6

Atomic structure:
a b c (Å): 5.742 14.604 6.305
angles (deg): 90.00 90.05 90.00
Element x y z (fractional)
Tb (0.250, 0.124, 0.167)
Tb (0.250, 0.376, 0.167)
Tb (0.750, 0.624, 0.833)
Tb (0.750, 0.876, 0.833)
Pm (0.250, 0.250, 0.665)
Pm (0.250, 0.624, 0.168)
Pm (0.250, 0.876, 0.168)
Pm (0.750, 0.124, 0.832)
Pm (0.750, 0.376, 0.832)
Pm (0.750, 0.750, 0.335)
Dy (0.250, 0.501, 0.667)
Dy (0.250, 0.750, 0.669)
Dy (0.250, 0.999, 0.667)
Dy (0.750, 0.001, 0.333)
Dy (0.750, 0.250, 0.331)
Dy (0.750, 0.499, 0.333)


Entry 8:
Computed XRD peak list of Tb3Pm8Dy for Cu Ka, from a DFT-relaxed cell (GGA-PBE, Alexandria).
Neutral-atom scattering factors, no anomalous dispersion.

Top 12 peaks for 2θ from 10° to 90°, sorted by position:
2θ = 19.64°, d = 4.520 Å, I = 20; 2θ = 19.81°, d = 4.482 Å, I = 22; 2θ = 22.87°, d = 3.889 Å, I = 11; 2θ = 32.41°, d = 2.763 Å, I = 100; 2θ = 32.51°, d = 2.754 Å, I = 25; 2θ = 32.77°, d = 2.733 Å, I = 24; 2θ = 38.15°, d = 2.359 Å, I = 10; 2θ = 46.38°, d = 1.958 Å, I = 9; 2θ = 46.65°, d = 1.947 Å, I = 9; 2θ = 57.70°, d = 1.598 Å, I = 19; 2θ = 57.80°, d = 1.595 Å, I = 10; 2θ = 58.26°, d = 1.584 Å, I = 14

Atomic structure:
a b c (Å): 7.769 7.788 7.831
angles (deg): 90.03 90.13 90.72
Element x y z (fractional)
Tb (0.000, 0.000, 0.000)
Tb (0.000, 0.500, 0.500)
Tb (0.500, 0.000, 0.500)
Pm (0.250, 0.250, 0.748)
Pm (0.250, 0.251, 0.252)
Pm (0.250, 0.750, 0.248)
Pm (0.250, 0.750, 0.752)
Pm (0.750, 0.250, 0.248)
Pm (0.750, 0.250, 0.752)
Pm (0.750, 0.749, 0.748)
Pm (0.750, 0.750, 0.252)
Dy (0.500, 0.500, 0.000)